No. 1
Starting from a GGA-PBE-relaxed structure, the powder XRD pattern of KBaGaAs2 was computed for copper Kα.
Kinematic intensities with the Lorentz-polarization factor, no thermal factor.

Cell and atoms:
Cell: 6.471 14.343 7.244 Å, 90.00 90.00 90.00°
Space group Cmme (No. 67)
Unique sites:
K 0.250 0.000 0.000 [4 per cell]
Ba 0.000 0.250 0.315 [4 per cell]
Ga 0.000 0.000 0.500 [4 per cell]
As 0.000 0.129 0.702 [8 per cell]

Most intense lines, 10° ≤ 2θ ≤ 80°, most intense first:
- 2θ 26.2, I 1000, (1 3 1)
- 2θ 27.6, I 903, (2 0 0)
- 2θ 12.2, I 522, (0 0 1)
- 2θ 36.4, I 511, (1 5 1)
- 2θ 30.3, I 423, (2 0 1)
- 2θ 34.0, I 252, (1 3 2)
- 2θ 37.3, I 238, (0 0 3)
- 2θ 48.7, I 226, (2 2 3)
- 2θ 39.4, I 221, (0 2 3)
- 2θ 47.9, I 190, (3 3 1)

No. 2
Starting from a GGA-PBE-relaxed structure, the powder XRD pattern of Ba2GaAsN was computed for copper Kα.
Kinematic intensities with the Lorentz-polarization factor, no thermal factor.

Cell and atoms:
Cell: 7.091 4.278 9.636 Å, 90.00 110.25 90.00°
Space group P2_1/m (No. 11)
Unique sites:
Ba 0.199 0.250 0.380 [2 per cell]
Ba 0.214 0.250 0.971 [2 per cell]
Ga 0.466 0.750 0.255 [2 per cell]
As 0.330 0.750 0.703 [2 per cell]
N 0.183 0.750 0.166 [2 per cell]

Most intense lines, 10° ≤ 2θ ≤ 80°, most intense first:
- 2θ 28.7, I 1000, (1 1 -2)
- 2θ 27.2, I 366, (2 0 -2)
- 2θ 27.4, I 312, (1 0 2)
- 2θ 24.7, I 309, (1 1 0)
- 2θ 42.3, I 277, (0 2 0)
- 2θ 34.1, I 273, (2 1 0)
- 2θ 29.6, I 250, (0 0 3)
- 2θ 26.8, I 227, (2 0 0)
- 2θ 34.5, I 224, (2 1 -2)
- 2θ 57.6, I 205, (3 1 -5)

No. 3
Starting from a GGA-PBE-relaxed structure, the powder XRD pattern of BaNaGaAs2 was computed for copper Kα.
Kinematic intensities with the Lorentz-polarization factor, no thermal factor.

Cell and atoms:
Cell: 6.513 14.106 6.209 Å, 90.00 90.00 90.00°
Space group Cmme (No. 67)
Unique sites:
Ba 0.000 0.250 0.241 [4 per cell]
Na 0.250 0.000 0.500 [4 per cell]
Ga 0.000 0.000 0.000 [4 per cell]
As 0.000 0.131 0.768 [8 per cell]

Most intense lines, 10° ≤ 2θ ≤ 80°, most intense first:
- 2θ 27.4, I 1000, (2 0 0)
- 2θ 37.6, I 364, (1 5 1)
- 2θ 31.5, I 254, (0 2 2)
- 2θ 42.2, I 143, (2 2 2)
- 2θ 48.5, I 133, (3 3 1)
- 2θ 40.1, I 121, (2 0 2)
- 2θ 55.4, I 116, (3 5 1)
- 2θ 50.2, I 113, (1 3 3)
- 2θ 57.0, I 100, (1 5 3)
- 2θ 28.8, I 94, (0 0 2)

No. 4
Starting from a GGA-PBE-relaxed structure, the powder XRD pattern of Ba2GaAsPt6 was computed for copper Kα.
Kinematic intensities with the Lorentz-polarization factor, no thermal factor.

Cell and atoms:
Cell: 6.754 6.767 6.876 Å, 60.87 60.64 60.12°
Space group P-1 (No. 2)
Unique sites:
Ba 0.210 0.210 0.371 [2 per cell]
Ga 0.500 0.500 0.500 [1 per cell]
As 0.000 0.000 0.000 [1 per cell]
Pt 0.248 0.247 0.854 [2 per cell]
Pt 0.248 0.649 0.857 [2 per cell]
Pt 0.349 0.753 0.146 [2 per cell]

Most intense lines, 10° ≤ 2θ ≤ 80°, most intense first:
- 2θ 32.4, I 1000, (2 0 0)
- 2θ 37.3, I 865, (0 2 2)
- 2θ 15.6, I 853, (0 0 1)
- 2θ 30.3, I 722, (1 0 2)
- 2θ 49.4, I 626, (3 0 2)
- 2θ 32.2, I 497, (0 2 0)
- 2θ 41.1, I 363, (1 3 1)
- 2θ 41.2, I 357, (3 2 2)
- 2θ 30.4, I 349, (0 1 2)
- 2θ 54.2, I 280, (2 4 2)

No. 5
Starting from a GGA-PBE-relaxed structure, the powder XRD pattern of BaGe2As2 was computed for copper Kα.
Kinematic intensities with the Lorentz-polarization factor, no thermal factor.

Cell and atoms:
Cell: 7.936 7.936 8.805 Å, 90.00 90.00 90.00°
Space group P4_2mc (No. 105)
Unique sites:
Ba 0.000 0.000 0.000 [2 per cell]
Ba 0.000 0.500 0.027 [2 per cell]
Ge 0.163 0.500 0.611 [4 per cell]
Ge 0.334 0.500 0.370 [4 per cell]
As 0.230 0.245 0.758 [8 per cell]

Most intense lines, 10° ≤ 2θ ≤ 80°, most intense first:
- 2θ 30.3, I 1000, (2 0 2)
- 2θ 55.9, I 320, (4 2 2)
- 2θ 52.9, I 290, (2 2 4)
- 2θ 27.1, I 263, (2 1 1)
- 2θ 31.9, I 237, (2 2 0)
- 2θ 45.7, I 189, (4 0 0)
- 2θ 25.7, I 184, (1 1 2)
- 2θ 32.4, I 178, (2 1 2)
- 2θ 25.1, I 163, (2 1 0)
- 2θ 24.6, I 139, (2 0 1)